# Ba6Na23Hg
Theoretical powder diffractogram, λ = 1.5418 Å (Cu Kα). Input: a GGA-PBE-relaxed structure.

Cell and atoms:
Unit cell a=12.1447 b=12.1447 c=12.1447 alpha=60.00 beta=60.00 gamma=60.00
Element x y z (fractional)
Ba  0.1999  0.1999  0.8001
Ba  0.1999  0.8001  0.1999
Ba  0.1999  0.8001  0.8001
Ba  0.8001  0.1999  0.1999
Ba  0.8001  0.1999  0.8001
Ba  0.8001  0.8001  0.1999
Na  0.0000  0.0000  0.5000
Na  0.0000  0.5000  0.0000
Na  0.0000  0.5000  0.5000
Na  0.1449  0.6184  0.6184
Na  0.1718  0.1718  0.1718
Na  0.1718  0.1718  0.4846
Na  0.1718  0.4846  0.1718
Na  0.3816  0.3816  0.3816
Na  0.3816  0.3816  0.8551
Na  0.3816  0.8551  0.3816
Na  0.4846  0.1718  0.1718
Na  0.5000  0.0000  0.0000
Na  0.5000  0.0000  0.5000
Na  0.5000  0.5000  0.0000
Na  0.5000  0.5000  0.5000
Na  0.5154  0.8282  0.8282
Na  0.6184  0.1449  0.6184
Na  0.6184  0.6184  0.1449
Na  0.6184  0.6184  0.6184
Na  0.8282  0.5154  0.8282
Na  0.8282  0.8282  0.5154
Na  0.8282  0.8282  0.8282
Na  0.8551  0.3816  0.3816
Hg  0.0000  0.0000  0.0000

Largest 10 diffraction maxima, low angle first, 10° ≤ 2θ ≤ 80°:
10.30°, 8.588 Å, rel. 53
20.69°, 4.294 Å, rel. 37
23.16°, 3.840 Å, rel. 25
26.97°, 3.305 Å, rel. 100
29.42°, 3.036 Å, rel. 65
31.25°, 2.863 Å, rel. 25
37.39°, 2.405 Å, rel. 34
44.77°, 2.024 Å, rel. 22
45.75°, 1.983 Å, rel. 26
55.33°, 1.660 Å, rel. 22

***

# Ac5SmMg6
Theoretical powder diffractogram, λ = 1.5418 Å (Cu Kα). Input: a GGA-PBE-relaxed structure.

Cell and atoms:
Unit cell a=5.7561 b=8.1464 c=9.1021 alpha=90.00 beta=108.30 gamma=90.00
Element x y z (fractional)
Ac  0.0000  0.0000  0.0000
Ac  0.3315  0.0000  0.6623
Ac  0.3337  0.5000  0.6670
Ac  0.6663  0.5000  0.3330
Ac  0.6685  0.0000  0.3377
Sm  0.0000  0.5000  0.0000
Mg  0.1615  0.2576  0.3236
Mg  0.1615  0.7424  0.3236
Mg  0.5000  0.2612  0.0000
Mg  0.5000  0.7388  0.0000
Mg  0.8385  0.2576  0.6764
Mg  0.8385  0.7424  0.6764

Largest 10 diffraction maxima, low angle first, 10° ≤ 2θ ≤ 80°:
21.82°, 4.072 Å, rel. 72
31.06°, 2.880 Å, rel. 100
38.28°, 2.351 Å, rel. 23
44.47°, 2.037 Å, rel. 13
50.07°, 1.822 Å, rel. 25
50.14°, 1.819 Å, rel. 8
55.24°, 1.663 Å, rel. 33
64.75°, 1.440 Å, rel. 12
69.18°, 1.358 Å, rel. 11
73.50°, 1.289 Å, rel. 11

***

# K2Zr3HgO8
Theoretical powder diffractogram, λ = 1.5418 Å (Cu Kα). Input: a GGA-PBE-relaxed structure.

Cell and atoms:
Unit cell a=7.5566 b=7.5566 c=7.5566 alpha=52.12 beta=52.12 gamma=52.12
Element x y z (fractional)
K  0.0000  0.0000  0.0000
K  0.3638  0.3638  0.3638
Zr  0.4922  0.9992  0.9992
Zr  0.9992  0.4922  0.9992
Zr  0.9992  0.9992  0.4922
Hg  0.5665  0.5665  0.5665
O  0.1822  0.7474  0.7474
O  0.2220  0.2220  0.2220
O  0.2620  0.2620  0.8120
O  0.2620  0.8120  0.2620
O  0.7474  0.1822  0.7474
O  0.7474  0.7474  0.1822
O  0.7795  0.7795  0.7795
O  0.8120  0.2620  0.2620

Largest 10 diffraction maxima, low angle first, 10° ≤ 2θ ≤ 80°:
13.60°, 6.512 Å, rel. 100
23.90°, 3.722 Å, rel. 35
27.60°, 3.232 Å, rel. 45
30.22°, 2.958 Å, rel. 27
31.45°, 2.844 Å, rel. 54
32.46°, 2.758 Å, rel. 31
36.26°, 2.478 Å, rel. 33
38.74°, 2.325 Å, rel. 23
47.90°, 1.899 Å, rel. 21
55.35°, 1.660 Å, rel. 25